For Tb2H8Rh3, DFT lattice parameters and positions (GGA-PBE) gives the calculated powder XRD pattern in this record (Cu Kα).
Neutral-atom scattering factors, no anomalous dispersion.

Most intense lines, 2θ from 10° to 90°, most intense first:
d/Å	I_rel	(hkl)
3.045	100	1 1 1
2.463	88	2 0 -2
2.700	76	3 1 -1
2.422	76	0 2 1
2.633	73	3 1 0
2.325	68	2 2 -1
3.722	52	1 1 -1
2.395	51	2 2 0
2.747	42	2 0 1
1.502	38	4 2 1

Structure:
```
data_Tb2H8Rh3
_cell_length_a 9.592
_cell_length_b 5.681
_cell_length_c 4.992
_cell_angle_alpha 90.00
_cell_angle_beta 111.66
_cell_angle_gamma 90.00
_symmetry_space_group_name_H-M 'C 1 2/m 1'
_symmetry_Int_Tables_number 12
loop_
_symmetry_equiv_pos_as_xyz
'x,y,z'
'-x,-y,-z'
'-x,y,-z'
'x,-y,z'
'x+1/2,y+1/2,z'
'-x+1/2,-y+1/2,-z'
'-x+1/2,y+1/2,-z'
'x+1/2,-y+1/2,z'
loop_
_atom_site_label
_atom_site_type_symbol
_atom_site_fract_x
_atom_site_fract_y
_atom_site_fract_z
_atom_site_occupancy
Tb1 Tb 0.196 0.000 0.193 1
H1 H 0.103 0.500 0.379 1
H2 H 0.105 0.298 0.878 1
H3 H 0.127 0.000 0.588 1
Rh1 Rh 0.000 0.245 0.500 1
Rh2 Rh 0.000 0.500 0.000 1
```

***

For TbH7Rh4, DFT lattice parameters and positions (GGA-PBE) gives the calculated powder XRD pattern in this record (Cu Kα).
Neutral-atom scattering factors, no anomalous dispersion.

Most intense lines, 2θ from 10° to 90°, most intense first:
d/Å	I_rel	(hkl)
2.340	100	0 2 1
2.320	95	0 0 2
2.779	79	2 1 1
2.633	69	3 1 0
2.526	57	3 0 1
2.290	45	3 1 1
2.078	44	2 2 1
1.740	40	3 1 2
3.524	32	0 1 1
4.519	30	2 0 0

Structure:
```
data_TbH7Rh4
_cell_length_a 9.037
_cell_length_b 5.420
_cell_length_c 4.638
_cell_angle_alpha 90.00
_cell_angle_beta 90.00
_cell_angle_gamma 90.00
_symmetry_space_group_name_H-M 'P m n 21'
_symmetry_Int_Tables_number 31
loop_
_symmetry_equiv_pos_as_xyz
'x,y,z'
'-x+1/2,-y,z+1/2'
'-x,y,z'
'x+1/2,-y,z+1/2'
loop_
_atom_site_label
_atom_site_type_symbol
_atom_site_fract_x
_atom_site_fract_y
_atom_site_fract_z
_atom_site_occupancy
Tb1 Tb 0.000 0.223 0.000 1
H1 H 0.000 0.756 0.624 1
H2 H 0.103 0.183 0.509 1
H3 H 0.131 0.590 0.331 1
H4 H 0.176 0.921 0.883 1
Rh1 Rh 0.163 0.889 0.498 1
Rh2 Rh 0.237 0.612 0.001 1
```

***

For TbTlH8Rh2, DFT lattice parameters and positions (GGA-PBE) gives the calculated powder XRD pattern in this record (Cu Kα).
Neutral-atom scattering factors, no anomalous dispersion.

Most intense lines, 2θ from 10° to 90°, most intense first:
d/Å	I_rel	(hkl)
3.117	100	1 0 4
2.406	49	0 1 8
2.045	31	1 1 0
1.493	22	1 1 12
1.710	18	0 2 4
1.312	15	2 1 4
1.558	13	2 0 8
1.240	12	1 2 8
2.186	12	0 0 12
1.488	11	1 0 16

Structure:
```
data_TbTlH8Rh2
_cell_length_a 4.0905
_cell_length_b 4.0905
_cell_length_c 26.2293
_cell_angle_alpha 90.00
_cell_angle_beta 90.00
_cell_angle_gamma 120.00
_symmetry_space_group_name_H-M 'R -3 m'
_symmetry_Int_Tables_number 166
_symmetry_space_group_name_Hall '-R 3 2"'
loop_
_atom_site_label
_atom_site_type_symbol
_atom_site_fract_x
_atom_site_fract_y
_atom_site_fract_z
_atom_site_occupancy
Tb1 Tb 0.0000 0.0000 0.0000 1
Tl1 Tl 0.0000 0.0000 0.5000 1
H1 H 0.0000 0.0000 0.1884 1
H2 H 0.0419 0.5210 0.0446 1
Rh1 Rh 0.0000 0.0000 0.2539 1
```

***

For TbZnHRh2, DFT lattice parameters and positions (GGA-PBE) gives the calculated powder XRD pattern in this record (Cu Kα).
Neutral-atom scattering factors, no anomalous dispersion.

Most intense lines, 2θ from 10° to 90°, most intense first:
d/Å	I_rel	(hkl)
2.464	100	1 1 2
2.286	81	0 4 2
2.559	72	1 3 0
2.421	38	1 3 1
1.370	31	2 4 2
1.711	25	2 0 0
1.866	24	0 0 4
2.696	20	0 4 1
3.136	19	0 2 2
1.983	16	1 1 3

Structure:
```
data_TbZnHRh2
_cell_length_a 3.421
_cell_length_b 11.566
_cell_length_c 7.466
_cell_angle_alpha 90.00
_cell_angle_beta 90.00
_cell_angle_gamma 90.00
_symmetry_space_group_name_H-M 'C m c m'
_symmetry_Int_Tables_number 63
_symmetry_space_group_name_Hall '-C 2c 2'
loop_
_atom_site_label
_atom_site_type_symbol
_atom_site_fract_x
_atom_site_fract_y
_atom_site_fract_z
_atom_site_occupancy
Tb1 Tb 0.000 0.030 0.250 1
Zn1 Zn 0.000 0.239 0.750 1
H1 H 0.000 0.500 0.000 1
Rh1 Rh 0.000 0.354 0.039 1
```